Entry 1:
This entry pairs a crystal structure of DyTmZrSc with its calculated X-ray diffraction stick pattern. Radiation: Cu Kα. Structure: a PBE-relaxed structure.
Intensities are scaled so that the largest is 100.

Cell and atoms:
```
DyTmZrSc
1.0
4.746 0.000 0.000
0.000 4.746 0.000
0.000 0.000 9.484
Dy Tm Zr Sc
2 2 2 2
direct
0.000 0.000 0.000 Dy
0.500 0.500 0.500 Dy
0.000 0.500 0.750 Tm
0.500 0.000 0.250 Tm
0.000 0.500 0.250 Zr
0.500 0.000 0.750 Zr
0.000 0.000 0.500 Sc
0.500 0.500 0.000 Sc
```

Top 10 peaks for 2θ from 5° to 70°, in order of rising 2θ:
- 2θ = 20.9°, d = 4.245 Å, I 25
- 2θ = 32.7°, d = 2.739 Å, I 100
- 2θ = 34.1°, d = 2.631 Å, I 8
- 2θ = 37.9°, d = 2.372 Å, I 50
- 2θ = 43.7°, d = 2.071 Å, I 8
- 2θ = 51.9°, d = 1.762 Å, I 7
- 2θ = 54.7°, d = 1.678 Å, I 34
- 2θ = 65.2°, d = 1.431 Å, I 40
- 2θ = 66.0°, d = 1.415 Å, I 4
- 2θ = 68.5°, d = 1.370 Å, I 11

Entry 2:
This entry pairs a crystal structure of YErThTc with its calculated X-ray diffraction stick pattern. Radiation: Cu Kα. Structure: a PBE-relaxed structure.
Intensities are scaled so that the largest is 100.

Cell and atoms:
```
YErThTc
1.0
8.450 0.000 0.000
0.000 5.015 0.000
-2.865 0.000 4.857
Y Er Th Tc
2 2 2 2
direct
0.000 0.000 0.000 Y
0.500 0.500 0.000 Y
0.269 0.500 0.316 Er
0.769 0.000 0.316 Er
0.247 0.000 0.731 Th
0.747 0.500 0.731 Th
0.027 0.500 0.585 Tc
0.527 0.000 0.585 Tc
```

Top 10 peaks for 2θ from 5° to 70°, in order of rising 2θ:
- 2θ = 18.3°, d = 4.857 Å, I 10
- 2θ = 23.9°, d = 3.719 Å, I 18
- 2θ = 32.3°, d = 2.775 Å, I 100
- 2θ = 35.8°, d = 2.507 Å, I 29
- 2θ = 36.6°, d = 2.456 Å, I 55
- 2θ = 49.0°, d = 1.860 Å, I 20
- 2θ = 50.1°, d = 1.820 Å, I 10
- 2θ = 62.1°, d = 1.494 Å, I 10
- 2θ = 63.2°, d = 1.472 Å, I 19
- 2θ = 64.9°, d = 1.437 Å, I 10

Entry 3:
This entry pairs a crystal structure of La12CeCo7 with its calculated X-ray diffraction stick pattern. Radiation: Cu Kα. Structure: a PBE-relaxed structure.
Intensities are scaled so that the largest is 100.

Cell and atoms:
```
La12CeCo7
1.0
7.343 4.240 3.001
-7.343 4.240 3.001
0.000 -8.479 3.001
La Ce Co
12 1 7
direct
0.094 0.238 0.660 La
0.130 0.420 0.342 La
0.238 0.660 0.094 La
0.340 0.906 0.762 La
0.342 0.130 0.420 La
0.420 0.342 0.130 La
0.580 0.658 0.870 La
0.658 0.870 0.580 La
0.660 0.094 0.238 La
0.762 0.340 0.906 La
0.870 0.580 0.658 La
0.906 0.762 0.340 La
0.000 0.000 0.000 Ce
0.043 0.953 0.727 Co
0.047 0.273 0.957 Co
0.273 0.957 0.047 Co
0.500 0.500 0.500 Co
0.727 0.043 0.953 Co
0.953 0.727 0.043 Co
0.957 0.047 0.273 Co
```

Top 10 peaks for 2θ from 5° to 70°, in order of rising 2θ:
- 2θ = 12.0°, d = 7.346 Å, I 20
- 2θ = 27.1°, d = 3.285 Å, I 67
- 2θ = 29.8°, d = 3.000 Å, I 27
- 2θ = 32.2°, d = 2.776 Å, I 100
- 2θ = 38.8°, d = 2.323 Å, I 14
- 2θ = 44.5°, d = 2.037 Å, I 51
- 2θ = 48.0°, d = 1.897 Å, I 18
- 2θ = 54.4°, d = 1.685 Å, I 29
- 2θ = 56.0°, d = 1.642 Å, I 16
- 2θ = 57.5°, d = 1.603 Å, I 14

What is the formula in the second record? YErThTc